Calculated powder XRD pattern of K2VH2OF5 for Cu Ka, from a PBE+U-relaxed structure.
Kinematic intensities with the Lorentz-polarization factor, no thermal factor.

Lattice parameters (Å, degrees): 6.4081 6.4081 7.9399 95.43 95.43 78.89
Sites, in units of the cell vectors:
K (0.1964, 0.2014, 0.0377)
K (0.2014, 0.1964, 0.5377)
K (0.7986, 0.8036, 0.4623)
K (0.8036, 0.7986, 0.9623)
V (0.2996, 0.7004, 0.7500)
V (0.7004, 0.2996, 0.2500)
H (0.3455, 0.5972, 0.3443)
H (0.4028, 0.6545, 0.1557)
H (0.5972, 0.3455, 0.8443)
H (0.6545, 0.4028, 0.6557)
O (0.4418, 0.5582, 0.2500)
O (0.5582, 0.4418, 0.7500)
F (0.0523, 0.9477, 0.7500)
F (0.1218, 0.5124, 0.8165)
F (0.2181, 0.6238, 0.5098)
F (0.3762, 0.7819, 0.9902)
F (0.4876, 0.8782, 0.6835)
F (0.5124, 0.1218, 0.3165)
F (0.6238, 0.2181, 0.0098)
F (0.7819, 0.3762, 0.4902)
F (0.8782, 0.4876, 0.1835)
F (0.9477, 0.0523, 0.2500)

The 10 most intense peaks (10 to 90 degrees two-theta), in order of rising 2θ:
| 2θ/deg | I/Imax |
| --- | --- |
| 17.37 | 100 |
| 18.76 | 67 |
| 28.48 | 37 |
| 29.40 | 29 |
| 30.78 | 59 |
| 34.28 | 50 |
| 35.18 | 37 |
| 40.84 | 31 |
| 46.06 | 44 |
| 47.63 | 42 |